Structure and simulated X-ray powder pattern of CdFe2I2Br6 (the PBE geometry in Alexandria; Cu Kα).

Peak list (10 most intense, 2θ = 10–80°, in order of rising 2θ)
index  two_theta  d (Å)  Rel. int.
1 0 1  17.02  5.210  100
0 0 3  24.71  3.602  29
1 1 1  27.26  3.272  74
1 0 3  28.98  3.081  20
2 -1 2  30.86  2.898  73
0 2 1  31.20  2.867  22
2 1 1  41.02  2.200  21
1 1 4  42.58  2.123  36
3 0 0  45.78  1.982  46
3 0 3  52.71  1.737  21

Structural model:
a b c (Å): 6.866 6.866 10.807
angles (deg): 90.00 90.00 120.00
Atoms (fractional coordinates):
Cd 0.000 0.000 0.000
Fe 0.333 0.667 0.779
Fe 0.667 0.333 0.221
I 0.333 0.667 0.549
I 0.667 0.333 0.451
Br 0.001 0.668 0.846
Br 0.332 0.334 0.846
Br 0.334 0.001 0.154
Br 0.666 0.999 0.846
Br 0.668 0.666 0.154
Br 0.999 0.332 0.154



Structure and simulated X-ray powder pattern of KNbCdFeBr (the PBE geometry in Alexandria; Cu Kα).

Peak list (10 most intense, 2θ = 10–80°, in order of rising 2θ)
index  two_theta  d (Å)  Rel. int.
1 0 0  26.22  3.398  18
1 0 2  31.78  2.816  100
0 0 4  35.70  2.515  17
1 1 0  37.43  2.403  74
1 0 3  37.69  2.387  25
1 0 4  44.83  2.022  49
1 1 4  52.68  1.737  22
2 0 0  53.97  1.699  24
2 1 2  64.00  1.455  25
2 1 4  72.70  1.301  22

Structural model:
a b c (Å): 3.398 3.398 10.060
angles (deg): 90.00 90.00 90.00
Atoms (fractional coordinates):
K 0.000 0.000 0.000
Nb 0.000 0.000 0.466
Cd 0.500 0.500 0.282
Fe 0.500 0.500 0.563
Br 0.500 0.500 0.802